Starting from a GGA-PBE-relaxed structure, the powder diffraction line list of Tb5Pr2Th5 was computed for a wavelength of 1.5418 Å.
Intensities are scaled so that the largest is 100.

Peak list (8 most intense, 2θ from 10° to 90°, by intensity)
2θ/deg, d_spacing, I_rel
30.48, 2.933, 100
35.29, 2.544, 34
50.86, 1.795, 30
35.43, 2.533, 17
60.51, 1.530, 15
60.37, 1.533, 14
82.83, 1.165, 9
60.58, 1.528, 7

Cell and atoms:
```
12
Lattice="7.640 -2.533 0.000 7.640 2.533 0.000 -5.117 0.000 10.162" Properties=species:S:1:pos:R:3 pbc="T T T"
Tb 0.000 0.000 0.000
Tb -2.518 0.000 7.605
Tb -0.029 0.000 5.133
Tb 10.192 0.000 5.029
Tb 12.680 0.000 2.557
Pr 2.514 0.000 7.633
Pr 7.648 0.000 2.529
Th 2.596 0.000 2.509
Th -0.078 0.000 10.146
Th 5.081 0.000 5.081
Th 10.240 0.000 0.015
Th 7.566 0.000 7.653
```

***

Starting from a GGA-PBE-relaxed structure, the powder diffraction line list of DyCo9B4 was computed for a wavelength of 1.5418 Å.
Intensities are scaled so that the largest is 100.

Peak list (8 most intense, 2θ from 10° to 90°, by intensity)
2θ/deg, d_spacing, I_rel
42.69, 2.118, 100
37.28, 2.412, 20
56.48, 1.629, 20
33.31, 2.689, 19
37.73, 2.384, 15
67.17, 1.394, 12
50.89, 1.794, 12
39.09, 2.304, 11

Cell and atoms:
```
28
Lattice="-3.643 3.643 5.379 3.643 -3.643 5.379 3.643 3.643 -5.379" Properties=species:S:1:pos:R:3 pbc="T T T"
Dy 0.000 0.000 2.666
Dy 0.000 0.000 8.092
Co 3.643 0.000 0.000
Co 4.750 -0.948 1.920
Co 5.863 0.703 0.000
Co 2.695 -1.107 3.459
Co 0.703 1.424 0.000
Co 2.967 2.239 0.000
Co 2.537 0.948 1.920
Co 1.404 -0.676 5.379
Co 4.592 1.107 3.459
Co 0.000 3.643 0.000
Co -0.948 2.537 1.920
Co 2.239 4.319 0.000
Co 1.107 2.695 3.459
Co 0.676 1.404 5.379
Co 2.940 2.220 5.379
Co 0.948 4.750 1.920
Co -2.220 2.940 5.379
Co -1.107 4.592 3.459
B 4.608 1.275 -1.455
B 1.275 2.679 -1.455
B 4.608 1.275 1.455
B 2.368 0.964 3.924
B 1.275 2.679 1.455
B -0.964 2.368 3.924
B 2.368 0.964 6.834
B -0.964 2.368 6.834
```

***

Starting from a GGA-PBE-relaxed structure, the powder diffraction line list of Pr2HgPb4 was computed for a wavelength of 1.5418 Å.
Intensities are scaled so that the largest is 100.

Peak list (8 most intense, 2θ from 10° to 90°, by intensity)
2θ/deg, d_spacing, I_rel
32.37, 2.766, 100
37.07, 2.425, 18
37.44, 2.402, 17
38.13, 2.360, 16
63.86, 1.458, 15
64.37, 1.447, 14
65.30, 1.429, 13
53.71, 1.707, 12

Cell and atoms:
```
7
Lattice="4.720 -4.851 0.000 4.720 4.851 0.000 0.000 0.000 4.804" Properties=species:S:1:pos:R:3 pbc="T T T"
Pr 4.720 2.463 0.000
Pr 4.720 -2.463 0.000
Hg 0.000 0.000 2.402
Pb 2.360 2.425 2.402
Pb 2.470 0.000 0.000
Pb 2.360 -2.425 2.402
Pb 6.970 0.000 0.000
```

***

Starting from a GGA-PBE-relaxed structure, the powder diffraction line list of Hf3Be4Co4 was computed for a wavelength of 1.5418 Å.
Intensities are scaled so that the largest is 100.

Peak list (8 most intense, 2θ from 10° to 90°, by intensity)
2θ/deg, d_spacing, I_rel
39.07, 2.305, 100
33.67, 2.662, 30
27.36, 3.260, 26
70.79, 1.331, 26
19.25, 4.610, 23
63.84, 1.458, 19
43.91, 2.062, 16
56.45, 1.630, 13

Cell and atoms:
```
11
Lattice="-3.260 3.260 3.260 3.260 -3.260 3.260 3.260 3.260 -3.260" Properties=species:S:1:pos:R:3 pbc="T T T"
Hf 3.260 0.000 0.000
Hf 0.000 3.260 0.000
Hf 0.000 0.000 3.260
Be 0.739 0.739 -0.739
Be 0.739 -0.739 0.739
Be -0.739 0.739 0.739
Be 2.521 2.521 2.521
Co 1.926 1.926 -1.926
Co 1.926 -1.926 1.926
Co 1.334 1.334 1.334
Co -1.926 1.926 1.926
```